This entry pairs a crystal structure of Ce3ZnC with its calculated powder diffractogram. Radiation: a wavelength of 1.5418 Å. Structure: a structure optimized by DFT (GGA-PBE).

Peak list (8 most intense, 10° ≤ 2θ ≤ 90°, low angle first)
d_spacing	I/Imax
3.044	27
2.727	49
2.682	70
2.621	100
1.853	40
1.525	13
1.515	13
1.172	12

Structure:
```
data_Ce3ZnC
_cell_length_a 11.282
_cell_length_b 5.244
_cell_length_c 7.914
_cell_angle_alpha 90.00
_cell_angle_beta 111.87
_cell_angle_gamma 90.00
_space_group_name_H-M_alt 'C 1 2/m 1'
_space_group_IT_number 12
loop_
_space_group_symop_operation_xyz
'x,y,z'
'-x,-y,-z'
'-x,y,-z'
'x,-y,z'
'x+1/2,y+1/2,z'
'-x+1/2,-y+1/2,-z'
'-x+1/2,y+1/2,-z'
'x+1/2,-y+1/2,z'
loop_
_atom_site_label
_atom_site_type_symbol
_atom_site_fract_x
_atom_site_fract_y
_atom_site_fract_z
Ce1 Ce 0.115 0.000 0.227
Ce2 Ce 0.135 0.500 0.924
Ce3 Ce 0.141 0.000 0.629
Zn1 Zn 0.094 0.500 0.439
C1 C 0.126 0.000 0.926
```